Calculated powder diffraction line list
Compound: DyY3C8
Radiation: λ = 1.5418 Å (Cu Kα)
Structure: the GGA-PBE geometry in Alexandria
Lines closer than 0.1° are merged.

Cell and atoms:
Lattice parameters (Å, degrees): 6.6085 6.6085 6.6085 133.66 124.01 75.54
Fractional positions:
Dy1 0.0000 0.0000 0.0000
Y1 0.2502 0.7502 0.5000
Y2 0.5000 0.5000 0.0000
Y3 0.7498 0.2498 0.5000
C1 0.1049 0.5000 0.6049
C2 0.1443 0.2495 0.8948
C3 0.3547 0.2495 0.1052
C4 0.3950 0.0000 0.3950
C5 0.6050 0.0000 0.6050
C6 0.6453 0.7505 0.8948
C7 0.8557 0.7505 0.1052
C8 0.8951 0.5000 0.3951

The 10 most intense peaks (10° ≤ 2θ ≤ 90°), by intensity:
2θ 28.16, intensity 100
2θ 28.78, intensity 38
2θ 50.62, intensity 32
2θ 34.33, intensity 31
2θ 34.49, intensity 30
2θ 45.39, intensity 21
2θ 45.52, intensity 21
2θ 49.46, intensity 20
2θ 58.23, intensity 20
2θ 57.78, intensity 14